Er6TeO12: computed powder X-ray diffraction pattern (Cu Kα, 1.54184 Å), based on a PBE-relaxed structure.

Cell and atoms:
abc: 6.3839 6.3839 6.3839
angles: 98.75 98.75 98.75
Positions (direct):
Er1 0.1101 0.8166 0.6448
Er2 0.1834 0.3552 0.8899
Er3 0.3552 0.8899 0.1834
Er4 0.6448 0.1101 0.8166
Er5 0.8166 0.6448 0.1101
Er6 0.8899 0.1834 0.3552
Te1 0.5000 0.5000 0.5000
O1 0.0681 0.9087 0.3226
O2 0.0913 0.6774 0.9319
O3 0.2000 0.4270 0.5352
O4 0.3226 0.0681 0.9087
O5 0.4270 0.5352 0.2000
O6 0.4648 0.8000 0.5730
O7 0.5352 0.2000 0.4270
O8 0.5730 0.4648 0.8000
O9 0.6774 0.9319 0.0913
O10 0.8000 0.5730 0.4648
O11 0.9087 0.3226 0.0681
O12 0.9319 0.0913 0.6774

Largest 10 diffraction maxima, sorted by position, 2θ = 10–90°:
2θ (°)	I/Imax
29.0	30.1
29.8	100.0
34.3	46.5
48.8	24.6
49.8	26.9
57.8	11.2
58.7	22.6
59.1	12.5
61.9	9.5
80.9	9.0